Entry 1:
For Cr4P2O9, DFT lattice parameters and positions (PBE+U) gives the theoretical powder XRD pattern in this record (copper Kα).
Kinematic intensities with the Lorentz-polarization factor, no thermal factor.

Structural model:
```
data_Cr4P2O9
_cell_length_a 6.5364
_cell_length_b 12.0695
_cell_length_c 9.5994
_cell_angle_alpha 90.00
_cell_angle_beta 105.05
_cell_angle_gamma 90.00
_symmetry_space_group_name_H-M 'P 1 21/c 1'
_symmetry_Int_Tables_number 14
loop_
_symmetry_equiv_pos_as_xyz
'x,y,z'
'-x,-y,-z'
'-x,y+1/2,-z+1/2'
'x,-y+1/2,z+1/2'
loop_
_atom_site_label
_atom_site_type_symbol
_atom_site_fract_x
_atom_site_fract_y
_atom_site_fract_z
Cr1 Cr 0.0417 0.1311 0.3089
Cr2 Cr 0.2743 0.1169 0.7465
Cr3 Cr 0.3187 0.6010 0.4638
Cr4 Cr 0.4278 0.6106 0.1110
P1 P 0.2065 0.1756 0.0759
P2 P 0.2612 0.6249 0.8158
O1 O 0.0101 0.1074 0.0881
O2 O 0.0316 0.6543 0.7419
O3 O 0.1506 0.2096 0.5090
O4 O 0.2546 0.5546 0.2432
O5 O 0.2778 0.5170 0.9111
O6 O 0.3193 0.1995 0.2435
O7 O 0.3486 0.1032 0.0078
O8 O 0.3719 0.7129 0.9283
O9 O 0.3893 0.6118 0.6994
```

Top 10 peaks for 2θ from 10° to 80°, low angle first:
(1 0 -2), 2θ = 20.61°, I = 19; (1 3 0), 2θ = 26.27°, I = 20; (2 1 0), 2θ = 29.25°, I = 30; (0 4 0), 2θ = 29.61°, I = 100; (0 1 3), 2θ = 29.85°, I = 37; (2 1 -2), 2θ = 30.75°, I = 54; (2 2 -1), 2θ = 31.21°, I = 38; (0 2 3), 2θ = 32.55°, I = 54; (1 1 -5), 2θ = 48.01°, I = 24; (4 0 -2), 2θ = 56.51°, I = 24

Entry 2:
For KCoO2, DFT lattice parameters and positions (PBE+U) gives the theoretical powder XRD pattern in this record (copper Kα).
Kinematic intensities with the Lorentz-polarization factor, no thermal factor.

Structural model:
```
data_KCoO2
_cell_length_a 8.1331
_cell_length_b 7.6490
_cell_length_c 8.1213
_cell_angle_alpha 90.00
_cell_angle_beta 90.22
_cell_angle_gamma 90.00
_symmetry_space_group_name_H-M 'C 1 2 1'
_symmetry_Int_Tables_number 5
loop_
_symmetry_equiv_pos_as_xyz
'x,y,z'
'-x,y,-z'
'x+1/2,y+1/2,z'
'-x+1/2,y+1/2,-z'
loop_
_atom_site_label
_atom_site_type_symbol
_atom_site_fract_x
_atom_site_fract_y
_atom_site_fract_z
K1 K 0.0000 0.0000 0.0000
K2 K 0.0000 0.4991 0.5000
K3 K 0.2497 0.2490 0.7530
Co1 Co 0.0000 0.4984 0.0000
Co2 Co 0.0000 0.9987 0.5000
Co3 Co 0.2486 0.7491 0.7471
O1 O 0.0672 0.3889 0.1964
O2 O 0.0709 0.8850 0.6904
O3 O 0.1885 0.1103 0.4280
O4 O 0.1942 0.6138 0.9331
```

Top 10 peaks for 2θ from 10° to 80°, low angle first:
(1 1 -1), 2θ = 19.32°, I = 24; (2 0 -2), 2θ = 31.07°, I = 18; (2 0 2), 2θ = 31.19°, I = 18; (2 2 0), 2θ = 32.14°, I = 100; (0 0 4), 2θ = 44.60°, I = 18; (4 2 -2), 2θ = 55.95°, I = 17; (2 2 4), 2θ = 56.10°, I = 17; (2 4 -2), 2θ = 57.93°, I = 19; (4 4 0), 2θ = 67.23°, I = 9; (0 6 2), 2θ = 78.66°, I = 6

Entry 3:
For Li5Co3O8, DFT lattice parameters and positions (PBE+U) gives the theoretical powder XRD pattern in this record (copper Kα).
Kinematic intensities with the Lorentz-polarization factor, no thermal factor.

Structural model:
```
data_Li5Co3O8
_cell_length_a 10.1570
_cell_length_b 5.8212
_cell_length_c 4.9790
_cell_angle_alpha 90.00
_cell_angle_beta 109.42
_cell_angle_gamma 90.00
_symmetry_space_group_name_H-M 'C 1 2/m 1'
_symmetry_Int_Tables_number 12
loop_
_symmetry_equiv_pos_as_xyz
'x,y,z'
'-x,-y,-z'
'-x,y,-z'
'x,-y,z'
'x+1/2,y+1/2,z'
'-x+1/2,-y+1/2,-z'
'-x+1/2,y+1/2,-z'
'x+1/2,-y+1/2,z'
loop_
_atom_site_label
_atom_site_type_symbol
_atom_site_fract_x
_atom_site_fract_y
_atom_site_fract_z
Li1 Li 0.0000 0.0000 0.0000
Li2 Li 0.2487 0.0000 0.4976
Li3 Li 0.2500 0.2500 0.0000
Co1 Co 0.0000 0.2427 0.5000
Co2 Co 0.0000 0.5000 0.0000
O1 O 0.1094 0.2719 0.2437
O2 O 0.1121 0.5000 0.7567
O3 O 0.1174 0.0000 0.7240
```

Top 10 peaks for 2θ from 10° to 80°, low angle first:
(1 1 0), 2θ = 17.83°, I = 21; (2 0 0), 2θ = 18.53°, I = 100; (0 0 1), 2θ = 18.90°, I = 9; (1 1 -1), 2θ = 23.70°, I = 17; (0 2 1), 2θ = 36.31°, I = 25; (2 0 -2), 2θ = 36.60°, I = 12; (2 2 1), 2θ = 44.07°, I = 87; (6 0 -2), 2θ = 58.10°, I = 15; (6 2 -1), 2θ = 63.58°, I = 15; (2 2 -3), 2θ = 64.65°, I = 15